[1]
Starting from a cell relaxed with GGA-PBE, the powder XRD pattern of Cr7Fe was computed for copper Kα.
Peak positions follow from Bragg's law for the DFT cell and can differ from measured ones.

Atomic structure:
```
Cr7Fe
1.0
4.0189 2.3203 3.2809
-4.0189 2.3203 3.2809
0.0000 -4.6406 3.2809
Cr Fe
14 2
Direct
0.1240 0.1240 0.6275 Cr
0.1240 0.6275 0.1240 Cr
0.1248 0.6268 0.6268 Cr
0.1262 0.1262 0.1262 Cr
0.3725 0.8760 0.8760 Cr
0.3732 0.3732 0.8752 Cr
0.3732 0.8752 0.3732 Cr
0.6268 0.1248 0.6268 Cr
0.6268 0.6268 0.1248 Cr
0.6275 0.1240 0.1240 Cr
0.8738 0.8738 0.8738 Cr
0.8752 0.3732 0.3732 Cr
0.8760 0.3725 0.8760 Cr
0.8760 0.8760 0.3725 Cr
0.3741 0.3741 0.3741 Fe
0.6259 0.6259 0.6259 Fe
```

Largest 3 diffraction maxima, in order of falling intensity, 10° ≤ 2θ ≤ 90°:
45.12°, I = 100.0; 83.29°, I = 27.5; 65.72°, I = 14.3

[2]
Starting from a cell relaxed with GGA-PBE, the powder XRD pattern of CrGa3Fe2Se8 was computed for copper Kα.
Peak positions follow from Bragg's law for the DFT cell and can differ from measured ones.

Atomic structure:
```
CrGa3Fe2Se8
1.0
6.7169 0.0000 0.0000
0.0000 3.8314 0.0000
-2.2377 0.0000 13.2550
Cr Ga Fe Se
1 3 2 8
Direct
0.0000 0.0000 0.0000 Cr
0.2578 0.5000 0.2925 Ga
0.4973 0.5000 0.9966 Ga
0.7650 0.0000 0.2899 Ga
0.0204 0.5000 0.5772 Fe
0.5217 0.0000 0.5752 Fe
0.0594 0.0000 0.1837 Se
0.1376 0.5000 0.9235 Se
0.3766 0.5000 0.6465 Se
0.4660 0.0000 0.3953 Se
0.5571 0.5000 0.1821 Se
0.6367 0.0000 0.9182 Se
0.8761 0.0000 0.6484 Se
0.9622 0.5000 0.3978 Se
```

Largest 8 diffraction maxima, in order of falling intensity, 10° ≤ 2θ ≤ 90°:
47.49°, I = 100.0; 47.01°, I = 72.0; 20.10°, I = 65.6; 26.90°, I = 64.1; 31.15°, I = 48.9; 27.17°, I = 37.9; 32.37°, I = 34.6; 47.36°, I = 31.7

[3]
Starting from a cell relaxed with GGA-PBE, the powder XRD pattern of CrFe14Ge was computed for copper Kα.
Peak positions follow from Bragg's law for the DFT cell and can differ from measured ones.

Atomic structure:
```
CrFe14Ge
1.0
2.9049 -4.0006 0.0000
2.9049 4.0006 0.0000
0.0000 0.0000 7.9906
Cr Fe Ge
1 14 1
Direct
0.0000 0.0000 0.0000 Cr
0.0000 0.0000 0.5000 Fe
0.0000 0.5000 0.0000 Fe
0.0000 0.5000 0.5000 Fe
0.2467 0.2467 0.2518 Fe
0.2467 0.2467 0.7482 Fe
0.2513 0.7487 0.2500 Fe
0.2513 0.7487 0.7500 Fe
0.5000 0.0000 0.0000 Fe
0.5000 0.0000 0.5000 Fe
0.5000 0.5000 0.5000 Fe
0.7487 0.2513 0.2500 Fe
0.7487 0.2513 0.7500 Fe
0.7533 0.7533 0.2518 Fe
0.7533 0.7533 0.7482 Fe
0.5000 0.5000 0.0000 Ge
```

Largest 6 diffraction maxima, in order of falling intensity, 10° ≤ 2θ ≤ 90°:
44.73°, I = 100.0; 45.37°, I = 47.9; 83.37°, I = 27.9; 82.00°, I = 14.6; 66.10°, I = 14.0; 64.11°, I = 7.8

[4]
Starting from a cell relaxed with GGA-PBE, the powder XRD pattern of CrFeReGe was computed for copper Kα.
Peak positions follow from Bragg's law for the DFT cell and can differ from measured ones.

Atomic structure:
```
CrFeReGe
1.0
5.9101 0.0000 0.0000
0.0000 5.9101 0.0000
0.0000 0.0000 5.9101
Cr Fe Re Ge
4 4 4 4
Direct
0.0000 0.0000 0.0000 Cr
0.0000 0.5000 0.5000 Cr
0.5000 0.0000 0.5000 Cr
0.5000 0.5000 0.0000 Cr
0.2500 0.2500 0.2500 Fe
0.2500 0.7500 0.7500 Fe
0.7500 0.2500 0.7500 Fe
0.7500 0.7500 0.2500 Fe
0.2500 0.2500 0.7500 Re
0.2500 0.7500 0.2500 Re
0.7500 0.2500 0.2500 Re
0.7500 0.7500 0.7500 Re
0.0000 0.0000 0.5000 Ge
0.0000 0.5000 0.0000 Ge
0.5000 0.0000 0.0000 Ge
0.5000 0.5000 0.5000 Ge
```

Largest 8 diffraction maxima, in order of falling intensity, 10° ≤ 2θ ≤ 90°:
43.30°, I = 100.0; 79.44°, I = 32.2; 26.12°, I = 29.0; 62.90°, I = 16.0; 51.27°, I = 15.1; 30.25°, I = 12.3; 69.30°, I = 6.5; 85.34°, I = 5.2

[5]
Starting from a cell relaxed with GGA-PBE, the powder XRD pattern of V2CrFe7Ge2 was computed for copper Kα.
Peak positions follow from Bragg's law for the DFT cell and can differ from measured ones.

Atomic structure:
```
V2CrFe7Ge2
1.0
-1.7303 1.7303 12.5093
1.7303 -1.7303 12.5093
1.7303 1.7303 -12.5093
V Cr Fe Ge
2 1 7 2
Direct
0.1714 0.1714 0.0000 V
0.8286 0.8286 0.0000 V
0.5000 0.5000 0.0000 Cr
0.0000 0.0000 0.0000 Fe
0.0710 0.5710 0.5000 Fe
0.2653 0.2653 0.0000 Fe
0.4290 0.9290 0.5000 Fe
0.5710 0.0710 0.5000 Fe
0.7347 0.7347 0.0000 Fe
0.9290 0.4290 0.5000 Fe
0.3610 0.3610 0.0000 Ge
0.6390 0.6390 0.0000 Ge
```

Largest 8 diffraction maxima, in order of falling intensity, 10° ≤ 2θ ≤ 90°:
42.85°, I = 100.0; 47.16°, I = 98.4; 52.91°, I = 83.1; 37.45°, I = 50.8; 47.86°, I = 49.6; 36.73°, I = 29.9; 74.10°, I = 25.0; 78.11°, I = 24.0

[6]
Starting from a cell relaxed with GGA-PBE, the powder XRD pattern of CrFe3H4 was computed for copper Kα.
Peak positions follow from Bragg's law for the DFT cell and can differ from measured ones.

Atomic structure:
```
CrFe3H4
1.0
3.7424 0.0000 0.0000
0.0000 3.7424 0.0000
0.0000 0.0000 7.4143
Cr Fe H
2 6 8
Direct
0.0000 0.0000 0.0000 Cr
0.5000 0.5000 0.5000 Cr
0.0000 0.0000 0.5000 Fe
0.0000 0.5000 0.2500 Fe
0.0000 0.5000 0.7500 Fe
0.5000 0.0000 0.2500 Fe
0.5000 0.0000 0.7500 Fe
0.5000 0.5000 0.0000 Fe
0.0000 0.0000 0.2598 H
0.0000 0.0000 0.7402 H
0.0000 0.5000 0.0000 H
0.0000 0.5000 0.5000 H
0.5000 0.0000 0.0000 H
0.5000 0.0000 0.5000 H
0.5000 0.5000 0.2402 H
0.5000 0.5000 0.7598 H
```

Largest 7 diffraction maxima, in order of falling intensity, 10° ≤ 2θ ≤ 90°:
41.95°, I = 100.0; 48.66°, I = 33.9; 86.28°, I = 21.2; 71.67°, I = 18.7; 49.15°, I = 16.4; 87.03°, I = 10.4; 71.27°, I = 9.5

[7]
Starting from a cell relaxed with GGA-PBE, the powder XRD pattern of CrFe2NiH4 was computed for copper Kα.
Peak positions follow from Bragg's law for the DFT cell and can differ from measured ones.

Atomic structure:
```
CrFe2NiH4
1.0
4.6338 0.0000 0.0000
0.0000 2.6196 0.0000
-1.5567 0.0000 4.3658
Cr Fe Ni H
1 2 1 4
Direct
0.0000 0.0000 0.0000 Cr
0.0000 0.5000 0.5000 Fe
0.5000 0.0000 0.5000 Fe
0.5000 0.5000 0.0000 Ni
0.2334 0.0000 0.7403 H
0.2407 0.5000 0.2540 H
0.7593 0.5000 0.7460 H
0.7666 0.0000 0.2597 H
```

Largest 8 diffraction maxima, in order of falling intensity, 10° ≤ 2θ ≤ 90°:
41.37°, I = 100.0; 41.93°, I = 96.0; 48.69°, I = 64.9; 70.81°, I = 37.4; 48.04°, I = 33.9; 86.70°, I = 20.2; 84.97°, I = 10.6; 85.35°, I = 10.5

[8]
Starting from a cell relaxed with GGA-PBE, the powder XRD pattern of CrFeNi2H4 was computed for copper Kα.
Peak positions follow from Bragg's law for the DFT cell and can differ from measured ones.

Atomic structure:
```
CrFeNi2H4
1.0
-2.6201 2.6656 3.7740
2.6201 -2.6656 3.7740
2.6201 2.6656 -3.7740
Cr Fe Ni H
2 2 4 8
Direct
0.5000 0.0000 0.0000 Cr
0.5000 0.5000 0.5000 Cr
0.0000 0.0000 0.0000 Fe
0.5000 0.0000 0.5000 Fe
0.0000 0.0000 0.5000 Ni
0.0000 0.5000 0.0000 Ni
0.0000 0.5000 0.5000 Ni
0.5000 0.5000 0.0000 Ni
0.2476 0.2477 0.9999 H
0.2522 0.7523 0.4999 H
0.2534 0.2500 0.4966 H
0.2534 0.7567 0.0034 H
0.7466 0.2433 0.9966 H
0.7466 0.7500 0.5034 H
0.7478 0.2477 0.5001 H
0.7524 0.7523 0.0001 H
```

Largest 8 diffraction maxima, in order of falling intensity, 10° ≤ 2θ ≤ 90°:
41.47°, I = 100.0; 41.98°, I = 96.4; 48.73°, I = 65.2; 70.99°, I = 37.5; 48.23°, I = 33.7; 85.71°, I = 31.7; 86.75°, I = 20.5; 85.32°, I = 10.7

[9]
Starting from a cell relaxed with GGA-PBE, the powder XRD pattern of HoCr2Fe10 was computed for copper Kα.
Peak positions follow from Bragg's law for the DFT cell and can differ from measured ones.

Atomic structure:
```
HoCr2Fe10
1.0
-2.3319 4.1629 4.2086
2.3319 -4.1629 4.2086
2.3319 4.1629 -4.2086
Ho Cr Fe
1 2 10
Direct
0.0000 0.0000 0.0000 Ho
0.3684 0.3684 0.0000 Cr
0.6316 0.6316 0.0000 Cr
0.0000 0.0000 0.5000 Fe
0.0000 0.5000 0.0000 Fe
0.2233 0.5000 0.7233 Fe
0.2293 0.7293 0.5000 Fe
0.3582 0.0000 0.3582 Fe
0.5000 0.0000 0.0000 Fe
0.5000 0.5000 0.5000 Fe
0.6418 0.0000 0.6418 Fe
0.7707 0.2707 0.5000 Fe
0.7767 0.5000 0.2767 Fe
```

Largest 8 diffraction maxima, in order of falling intensity, 10° ≤ 2θ ≤ 90°:
43.47°, I = 100.0; 43.62°, I = 77.7; 44.41°, I = 52.0; 44.53°, I = 46.7; 42.98°, I = 43.7; 30.56°, I = 34.2; 37.72°, I = 31.7; 49.78°, I = 29.2

[10]
Starting from a cell relaxed with GGA-PBE, the powder XRD pattern of CrIn3Fe was computed for copper Kα.
Peak positions follow from Bragg's law for the DFT cell and can differ from measured ones.

Atomic structure:
```
CrIn3Fe
1.0
5.1161 0.0000 0.0000
0.0000 5.1161 0.0000
0.0000 0.0000 5.1161
Cr In Fe
1 3 1
Direct
0.0000 0.0000 0.0000 Cr
0.0000 0.0000 0.5000 In
0.0000 0.5000 0.0000 In
0.5000 0.0000 0.0000 In
0.5000 0.5000 0.5000 Fe
```

Largest 8 diffraction maxima, in order of falling intensity, 10° ≤ 2θ ≤ 90°:
30.26°, I = 100.0; 35.08°, I = 85.8; 50.45°, I = 58.5; 59.97°, I = 41.0; 17.33°, I = 28.9; 84.74°, I = 24.9; 62.93°, I = 19.4; 82.12°, I = 16.6

[11]
Starting from a cell relaxed with GGA-PBE, the powder XRD pattern of Cr2FeIr4 was computed for copper Kα.
Peak positions follow from Bragg's law for the DFT cell and can differ from measured ones.

Atomic structure:
```
Cr2FeIr4
1.0
6.7094 0.0000 0.0000
0.0000 7.8418 0.0000
0.0000 0.0000 3.7840
Cr Fe Ir
4 2 8
Direct
0.0000 0.2225 0.0000 Cr
0.0000 0.7775 0.0000 Cr
0.5000 0.2775 0.0000 Cr
0.5000 0.7225 0.0000 Cr
0.0000 0.0000 0.5000 Fe
0.5000 0.5000 0.5000 Fe
0.2064 0.5000 0.0000 Ir
0.2500 0.2500 0.5000 Ir
0.2500 0.7500 0.5000 Ir
0.2936 0.0000 0.0000 Ir
0.7064 0.0000 0.0000 Ir
0.7500 0.2500 0.5000 Ir
0.7500 0.7500 0.5000 Ir
0.7936 0.5000 0.0000 Ir
```

Largest 8 diffraction maxima, in order of falling intensity, 10° ≤ 2θ ≤ 90°:
42.77°, I = 100.0; 32.89°, I = 48.8; 26.57°, I = 33.4; 46.31°, I = 21.6; 48.09°, I = 20.4; 85.99°, I = 13.5; 68.98°, I = 13.1; 83.37°, I = 13.1

[12]
Starting from a cell relaxed with GGA-PBE, the powder XRD pattern of CrFe2Ir was computed for copper Kα.
Peak positions follow from Bragg's law for the DFT cell and can differ from measured ones.

Atomic structure:
```
CrFe2Ir
1.0
2.6451 0.0000 0.0000
-1.3225 2.2907 0.0000
0.0000 0.0000 24.8526
Cr Fe Ir
3 6 3
Direct
0.0000 0.0000 0.0000 Cr
0.3333 0.6667 0.6667 Cr
0.6667 0.3333 0.3333 Cr
0.0000 0.0000 0.2550 Fe
0.0000 0.0000 0.5071 Fe
0.3333 0.6667 0.1738 Fe
0.3333 0.6667 0.9217 Fe
0.6667 0.3333 0.5883 Fe
0.6667 0.3333 0.8405 Fe
0.0000 0.0000 0.7526 Ir
0.3333 0.6667 0.4192 Ir
0.6667 0.3333 0.0859 Ir
```

Largest 8 diffraction maxima, in order of falling intensity, 10° ≤ 2θ ≤ 90°:
42.04°, I = 100.0; 10.68°, I = 95.9; 49.43°, I = 61.0; 43.71°, I = 29.0; 21.45°, I = 26.2; 87.52°, I = 22.5; 71.31°, I = 19.7; 73.69°, I = 17.1